The following is a calculated powder diffractogram of Ac4GaPbN. It was derived from a crystal structure in Alexandria, relaxed with PBE, using Cu Kα (weighted mean of Kα1 and Kα2).
Peak positions follow from Bragg's law for the DFT cell and can differ from measured ones.

Structural model:
Lattice parameters (Å, degrees): 7.251 17.916 7.273 90.00 90.00 90.00
Space group Cmcm (No. 63)
Unique sites:
1 Ac 0.000 0.061 0.250
2 Ac 0.000 0.416 0.250
3 Ac 0.250 0.250 0.000
4 Ga 0.000 0.118 0.750
5 Pb 0.000 0.390 0.750
6 N 0.000 0.277 0.250

Main lines, by angle (2θ = 10–90°):
2theta, d/Å, I (rel.), index
26.49, 3.365, 100, 2 2 0
29.92, 2.986, 30, 0 6 0
30.42, 2.939, 23, 1 5 1
31.72, 2.821, 74, 2 4 0
34.95, 2.568, 62, 2 0 2
46.66, 1.947, 37, 2 6 2
47.00, 1.933, 14, 3 5 1
59.53, 1.553, 15, 0 6 4